Theoretical powder diffractogram of NaMgSbO4 for Cu Kα (weighted mean of Kα1 and Kα2), from a cell relaxed with GGA-PBE.
Neutral-atom scattering factors, no anomalous dispersion.

Cell and atoms:
```
NaMgSbO4
1.0
5.2718 0.0000 0.0000
0.0000 5.2718 0.0000
0.0000 0.0000 8.7618
Na Mg Sb O
2 2 2 8
direct
0.0000 0.0000 0.0000
0.5000 0.5000 0.5000
0.0000 0.5000 0.7500
0.5000 0.0000 0.2500
0.0000 0.0000 0.5000
0.5000 0.5000 0.0000
0.1684 0.2516 0.6185
0.2484 0.6684 0.8815
0.2516 0.8316 0.3815
0.3316 0.2484 0.1185
0.6684 0.7516 0.1185
0.7484 0.1684 0.3815
0.7516 0.3316 0.8815
0.8316 0.7484 0.6185
```

Principal peaks in the range 10 to 80 degrees two-theta, by angle:
19.65°, rel. 100
20.27°, rel. 27
23.87°, rel. 33
31.51°, rel. 76
34.01°, rel. 13
39.59°, rel. 20
39.92°, rel. 16
49.70°, rel. 17
54.47°, rel. 21
59.31°, rel. 21

=====

Theoretical powder diffractogram of Ti4GeSe for Cu Kα (weighted mean of Kα1 and Kα2), from a cell relaxed with GGA-PBE.
Neutral-atom scattering factors, no anomalous dispersion.

Cell and atoms:
```
Ti4GeSe
1.0
6.8252 -2.4932 0.0000
6.8252 2.4932 0.0000
-1.5853 0.0000 6.2742
Ti Ge Se
8 2 2
direct
0.0563 0.8078 0.5689
0.1922 0.9437 0.9311
0.2101 0.4724 0.8752
0.4724 0.2101 0.3752
0.5276 0.7899 0.6248
0.7899 0.5276 0.1248
0.8078 0.0563 0.0689
0.9437 0.1922 0.4311
0.3696 0.6304 0.2500
0.6304 0.3696 0.7500
0.0000 0.5000 0.5000
0.5000 0.0000 0.0000
```

Principal peaks in the range 10 to 80 degrees two-theta, by angle:
22.75°, rel. 27
28.12°, rel. 64
34.23°, rel. 26
35.85°, rel. 59
38.06°, rel. 26
38.54°, rel. 30
40.05°, rel. 100
44.02°, rel. 44
44.17°, rel. 64
46.00°, rel. 73

=====

Theoretical powder diffractogram of U3Pa2Se8 for Cu Kα (weighted mean of Kα1 and Kα2), from a cell relaxed with GGA-PBE.
Neutral-atom scattering factors, no anomalous dispersion.

Cell and atoms:
```
U3Pa2Se8
1.0
4.8612 -6.9467 0.0000
4.8612 6.9467 0.0000
0.0000 0.0000 4.9273
U Pa Se
3 2 8
direct
0.0000 0.0000 0.0000
0.2656 0.2656 0.5000
0.7344 0.7344 0.5000
0.2590 0.7410 0.0000
0.7410 0.2590 0.0000
0.1206 0.3688 0.0000
0.1216 0.8784 0.5000
0.3688 0.1206 0.0000
0.3704 0.6296 0.5000
0.6296 0.3704 0.5000
0.6312 0.8794 0.0000
0.8784 0.1216 0.5000
0.8794 0.6312 0.0000
```

Principal peaks in the range 10 to 80 degrees two-theta, by angle:
22.12°, rel. 26
22.32°, rel. 26
25.71°, rel. 14
36.47°, rel. 26
36.66°, rel. 100
36.98°, rel. 24
43.17°, rel. 14
52.92°, rel. 17
65.77°, rel. 28
66.43°, rel. 17

=====

Theoretical powder diffractogram of K2NdP2S7 for Cu Kα (weighted mean of Kα1 and Kα2), from a cell relaxed with GGA-PBE.
Neutral-atom scattering factors, no anomalous dispersion.

Cell and atoms:
```
K2NdP2S7
1.0
9.2338 0.0000 0.0000
0.0000 6.9362 0.0000
-7.2308 0.0000 20.1470
K Nd P S
8 4 8 28
direct
0.1617 0.0430 0.3162
0.1617 0.4570 0.8162
0.2482 0.5130 0.4905
0.2482 0.9870 0.9905
0.7518 0.0130 0.0095
0.7518 0.4870 0.5095
0.8383 0.5430 0.1838
0.8383 0.9570 0.6838
0.3418 0.0328 0.6511
0.3418 0.4672 0.1511
0.6582 0.5328 0.8489
0.6582 0.9672 0.3489
0.0372 0.0105 0.4559
0.0372 0.4895 0.9559
0.4305 0.5128 0.3288
0.4305 0.9872 0.8288
0.5695 0.0128 0.1712
0.5695 0.4872 0.6712
0.9628 0.5105 0.0441
0.9628 0.9895 0.5441
0.0446 0.2332 0.5984
0.0446 0.2668 0.0984
0.0763 0.7410 0.0973
0.0763 0.7590 0.5973
0.2172 0.0240 0.7583
0.2172 0.4760 0.2583
0.2680 0.0359 0.4942
0.2680 0.4641 0.9942
0.4181 0.0787 0.2206
0.4181 0.4213 0.7206
0.4360 0.7421 0.3897
0.4360 0.7579 0.8897
0.4899 0.2245 0.8893
0.4899 0.2755 0.3893
0.5101 0.7245 0.6107
0.5101 0.7755 0.1107
0.5640 0.2421 0.1103
0.5640 0.2579 0.6103
0.5819 0.5787 0.2794
0.5819 0.9213 0.7794
0.7320 0.5359 0.0058
0.7320 0.9641 0.5058
0.7828 0.5240 0.7417
0.7828 0.9760 0.2417
0.9237 0.2410 0.4027
0.9237 0.2590 0.9027
0.9554 0.7332 0.9016
0.9554 0.7668 0.4016
```

Principal peaks in the range 10 to 80 degrees two-theta, by angle:
10.18°, rel. 33
10.97°, rel. 100
13.50°, rel. 50
16.01°, rel. 48
24.98°, rel. 32
27.74°, rel. 28
30.86°, rel. 28
31.38°, rel. 35
32.34°, rel. 43
37.27°, rel. 33

=====

Theoretical powder diffractogram of U2OsRu5 for Cu Kα (weighted mean of Kα1 and Kα2), from a cell relaxed with GGA-PBE.
Neutral-atom scattering factors, no anomalous dispersion.

Cell and atoms:
```
U2OsRu5
1.0
5.6630 0.0000 0.0000
0.0000 11.3268 0.0000
0.0000 0.0000 4.0021
U Os Ru
4 2 10
direct
0.2442 0.1267 0.0000
0.2558 0.6267 0.0000
0.7442 0.3733 0.0000
0.7558 0.8733 0.0000
0.0000 0.5000 0.5000
0.5000 0.0000 0.5000
0.0000 0.0000 0.5000
0.0047 0.7494 0.5000
0.2446 0.3770 0.0000
0.2554 0.8770 0.0000
0.4953 0.2494 0.5000
0.5000 0.5000 0.5000
0.5047 0.7506 0.5000
0.7446 0.1230 0.0000
0.7554 0.6230 0.0000
0.9953 0.2506 0.5000
```

Principal peaks in the range 10 to 80 degrees two-theta, by angle:
22.20°, rel. 11
28.42°, rel. 2
31.61°, rel. 10
38.96°, rel. 100
45.30°, rel. 49
51.01°, rel. 5
56.28°, rel. 4
66.00°, rel. 32
70.57°, rel. 3
79.38°, rel. 38

=====

Theoretical powder diffractogram of K2TaInSe5 for Cu Kα (weighted mean of Kα1 and Kα2), from a cell relaxed with GGA-PBE.
Neutral-atom scattering factors, no anomalous dispersion.

Cell and atoms:
```
K2TaInSe5
1.0
1.9348 -9.5890 0.0000
1.9348 9.5890 0.0000
0.0000 0.0000 14.8028
K Ta In Se
4 2 2 10
direct
0.1008 0.8992 0.5000
0.1366 0.8634 0.1339
0.8634 0.1366 0.6339
0.8992 0.1008 0.0000
0.2282 0.7718 0.8556
0.7718 0.2282 0.3556
0.4386 0.5614 0.2667
0.5614 0.4386 0.7667
0.0741 0.9259 0.8838
0.2776 0.7224 0.4744
0.2978 0.7022 0.2334
0.3505 0.6495 0.8273
0.5003 0.4997 0.1177
0.4997 0.5003 0.6177
0.6495 0.3505 0.3273
0.7022 0.2978 0.7334
0.7224 0.2776 0.9744
0.9259 0.0741 0.3838
```

Principal peaks in the range 10 to 80 degrees two-theta, by angle:
10.99°, rel. 49
11.96°, rel. 95
15.12°, rel. 64
26.40°, rel. 29
28.57°, rel. 57
29.71°, rel. 100
37.69°, rel. 30
38.58°, rel. 45
46.96°, rel. 31
47.51°, rel. 44